(1)
This entry pairs a crystal structure of CaGaCuNi3 with its calculated powder X-ray diffraction pattern. Radiation: CuKα. Structure: DFT lattice parameters and positions (GGA-PBE).

Atomic structure:
abc: 6.4967 6.4967 5.5341
angles: 90.00 90.00 128.23
Fractional coordinates of all 12 atoms:
Ca: 0.1975 0.8025 0.7500
Ca: 0.8025 0.1975 0.2500
Ga: 0.1442 0.8558 0.2500
Ga: 0.8558 0.1442 0.7500
Cu: 0.4175 0.5825 0.7500
Cu: 0.5825 0.4175 0.2500
Ni: 0.2121 0.2121 0.0000
Ni: 0.2121 0.2121 0.5000
Ni: 0.3640 0.6360 0.2500
Ni: 0.6360 0.3640 0.7500
Ni: 0.7879 0.7879 0.0000
Ni: 0.7879 0.7879 0.5000

The 6 most intense peaks (10° ≤ 2θ ≤ 80°), sorted by position:
2θ/deg, d [Å], I_rel
15.2, 5.845, 68
35.2, 2.552, 31
35.9, 2.501, 35
44.5, 2.035, 55
45.1, 2.011, 100
45.8, 1.981, 95

(2)
This entry pairs a crystal structure of CaGa2Cu3Sb2O12 with its calculated powder X-ray diffraction pattern. Radiation: CuKα. Structure: DFT lattice parameters and positions (GGA-PBE).

Atomic structure:
abc: 7.5570 7.5570 7.5570
angles: 90.00 90.00 90.00
Fractional coordinates of all 40 atoms:
Ca: 0.2500 0.2500 0.2500
Ca: 0.7500 0.7500 0.7500
Ga: 0.0000 0.0000 0.0000
Ga: 0.0000 0.5000 0.5000
Ga: 0.5000 0.0000 0.5000
Ga: 0.5000 0.5000 0.0000
Cu: 0.2500 0.2500 0.7500
Cu: 0.2500 0.7500 0.2500
Cu: 0.2500 0.7500 0.7500
Cu: 0.7500 0.2500 0.2500
Cu: 0.7500 0.2500 0.7500
Cu: 0.7500 0.7500 0.2500
Sb: 0.0000 0.0000 0.5000
Sb: 0.0000 0.5000 0.0000
Sb: 0.5000 0.0000 0.0000
Sb: 0.5000 0.5000 0.5000
O: 0.0541 0.7498 0.5742
O: 0.0541 0.7502 0.9258
O: 0.0742 0.5541 0.2502
O: 0.0742 0.9459 0.2498
O: 0.2502 0.0742 0.5541
O: 0.2498 0.0742 0.9459
O: 0.2498 0.4258 0.5541
O: 0.2502 0.4258 0.9459
O: 0.4258 0.5541 0.2498
O: 0.4258 0.9459 0.2502
O: 0.4459 0.7502 0.5742
O: 0.4459 0.7498 0.9258
O: 0.5541 0.2502 0.0742
O: 0.5541 0.2498 0.4258
O: 0.5742 0.0541 0.7498
O: 0.5742 0.4459 0.7502
O: 0.7498 0.5742 0.0541
O: 0.7502 0.5742 0.4459
O: 0.7502 0.9258 0.0541
O: 0.7498 0.9258 0.4459
O: 0.9258 0.0541 0.7502
O: 0.9258 0.4459 0.7498
O: 0.9459 0.2498 0.0742
O: 0.9459 0.2502 0.4258

The 6 most intense peaks (10° ≤ 2θ ≤ 80°), sorted by position:
2θ/deg, d [Å], I_rel
20.4, 4.363, 6
23.5, 3.778, 10
33.5, 2.672, 100
48.2, 1.889, 25
60.0, 1.543, 47
70.5, 1.336, 13

(3)
This entry pairs a crystal structure of Ca2Ga5CuPd2 with its calculated powder X-ray diffraction pattern. Radiation: CuKα. Structure: DFT lattice parameters and positions (GGA-PBE).

Atomic structure:
abc: 9.8453 9.8453 3.8830
angles: 90.00 90.00 90.00
Fractional coordinates of all 20 atoms:
Ca: 0.1835 0.3165 0.0000
Ca: 0.3165 0.8165 0.0000
Ca: 0.6835 0.1835 0.0000
Ca: 0.8165 0.6835 0.0000
Ga: 0.0000 0.5000 0.5000
Ga: 0.0520 0.8099 0.5000
Ga: 0.1901 0.0520 0.5000
Ga: 0.3099 0.5520 0.5000
Ga: 0.4480 0.3099 0.5000
Ga: 0.5000 0.0000 0.5000
Ga: 0.5520 0.6901 0.5000
Ga: 0.6901 0.4480 0.5000
Ga: 0.8099 0.9480 0.5000
Ga: 0.9480 0.1901 0.5000
Cu: 0.0000 0.0000 0.0000
Cu: 0.5000 0.5000 0.0000
Pd: 0.1151 0.6151 0.0000
Pd: 0.3849 0.1151 0.0000
Pd: 0.6151 0.8849 0.0000
Pd: 0.8849 0.3849 0.0000

The 6 most intense peaks (10° ≤ 2θ ≤ 80°), sorted by position:
2θ/deg, d [Å], I_rel
20.2, 4.403, 33
34.6, 2.592, 20
37.0, 2.429, 100
37.7, 2.388, 31
40.4, 2.234, 60
46.8, 1.941, 26

(4)
This entry pairs a crystal structure of CaGaCu2S4 with its calculated powder X-ray diffraction pattern. Radiation: CuKα. Structure: DFT lattice parameters and positions (GGA-PBE).

Atomic structure:
abc: 6.3703 6.3703 7.5656
angles: 90.00 90.00 90.00
Fractional coordinates of all 16 atoms:
Ca: 0.0000 0.0000 0.0000
Ca: 0.5000 0.5000 0.5000
Ga: 0.0000 0.0000 0.5000
Ga: 0.5000 0.5000 0.0000
Cu: 0.0000 0.5000 0.2500
Cu: 0.0000 0.5000 0.7500
Cu: 0.5000 0.0000 0.2500
Cu: 0.5000 0.0000 0.7500
S: 0.2075 0.2075 0.6749
S: 0.2075 0.7925 0.3251
S: 0.2925 0.2925 0.1749
S: 0.2925 0.7075 0.8251
S: 0.7075 0.2925 0.8251
S: 0.7075 0.7075 0.1749
S: 0.7925 0.2075 0.3251
S: 0.7925 0.7925 0.6749

The 6 most intense peaks (10° ≤ 2θ ≤ 80°), sorted by position:
2θ/deg, d [Å], I_rel
18.2, 4.873, 11
28.0, 3.185, 17
30.9, 2.897, 100
40.0, 2.252, 41
51.4, 1.778, 48
56.6, 1.626, 22

(5)
This entry pairs a crystal structure of CaScGa2Cu5 with its calculated powder X-ray diffraction pattern. Radiation: CuKα. Structure: DFT lattice parameters and positions (GGA-PBE).

Atomic structure:
abc: 4.2392 4.2392 8.2638
angles: 90.00 90.00 90.00
Fractional coordinates of all 9 atoms:
Ca: 0.0000 0.0000 0.0000
Sc: 0.0000 0.0000 0.5000
Ga: 0.5000 0.5000 0.3534
Ga: 0.5000 0.5000 0.6466
Cu: 0.0000 0.5000 0.2219
Cu: 0.0000 0.5000 0.7781
Cu: 0.5000 0.0000 0.2219
Cu: 0.5000 0.0000 0.7781
Cu: 0.5000 0.5000 0.0000

The 6 most intense peaks (10° ≤ 2θ ≤ 80°), sorted by position:
2θ/deg, d [Å], I_rel
21.0, 4.239, 24
37.1, 2.426, 100
39.0, 2.310, 27
42.7, 2.120, 79
44.7, 2.028, 48
61.9, 1.499, 24

(6)
This entry pairs a crystal structure of CaGaCu3Se4 with its calculated powder X-ray diffraction pattern. Radiation: CuKα. Structure: DFT lattice parameters and positions (GGA-PBE).

Atomic structure:
abc: 5.9899 5.9899 5.9899
angles: 90.00 90.00 90.00
Fractional coordinates of all 9 atoms:
Ca: 0.0000 0.0000 0.0000
Ga: 0.5000 0.5000 0.5000
Cu: 0.0000 0.5000 0.5000
Cu: 0.5000 0.0000 0.5000
Cu: 0.5000 0.5000 0.0000
Se: 0.2679 0.2679 0.7321
Se: 0.2679 0.7321 0.2679
Se: 0.7321 0.2679 0.2679
Se: 0.7321 0.7321 0.7321

The 6 most intense peaks (10° ≤ 2θ ≤ 80°), sorted by position:
2θ/deg, d [Å], I_rel
14.8, 5.990, 33
25.8, 3.458, 87
42.7, 2.118, 100
50.5, 1.806, 37
62.0, 1.497, 15
78.2, 1.223, 28

(7)
This entry pairs a crystal structure of CaGaCu3Si with its calculated powder X-ray diffraction pattern. Radiation: CuKα. Structure: DFT lattice parameters and positions (GGA-PBE).

Atomic structure:
abc: 6.6138 6.6138 5.7218
angles: 90.00 90.00 123.38
Fractional coordinates of all 12 atoms:
Ca: 0.2117 0.7883 0.7500
Ca: 0.7883 0.2117 0.2500
Ga: 0.4614 0.5386 0.7500
Ga: 0.5386 0.4614 0.2500
Cu: 0.1949 0.1949 0.0000
Cu: 0.1949 0.1949 0.5000
Cu: 0.3326 0.6674 0.2500
Cu: 0.6674 0.3326 0.7500
Cu: 0.8051 0.8051 0.0000
Cu: 0.8051 0.8051 0.5000
Si: 0.1314 0.8686 0.2500
Si: 0.8686 0.1314 0.7500

The 6 most intense peaks (10° ≤ 2θ ≤ 80°), sorted by position:
2θ/deg, d [Å], I_rel
15.2, 5.823, 100
34.6, 2.595, 39
34.9, 2.568, 36
35.3, 2.540, 48
42.8, 2.114, 93
44.4, 2.040, 60

(8)
This entry pairs a crystal structure of CaThGaCu with its calculated powder X-ray diffraction pattern. Radiation: CuKα. Structure: DFT lattice parameters and positions (GGA-PBE).

Atomic structure:
abc: 7.2535 7.2535 7.2535
angles: 90.00 90.00 90.00
Fractional coordinates of all 16 atoms:
Ca: 0.0000 0.0000 0.0000
Ca: 0.0000 0.5000 0.5000
Ca: 0.5000 0.0000 0.5000
Ca: 0.5000 0.5000 0.0000
Th: 0.0000 0.0000 0.5000
Th: 0.0000 0.5000 0.0000
Th: 0.5000 0.0000 0.0000
Th: 0.5000 0.5000 0.5000
Ga: 0.2500 0.2500 0.7500
Ga: 0.2500 0.7500 0.2500
Ga: 0.7500 0.2500 0.2500
Ga: 0.7500 0.7500 0.7500
Cu: 0.2500 0.2500 0.2500
Cu: 0.2500 0.7500 0.7500
Cu: 0.7500 0.2500 0.7500
Cu: 0.7500 0.7500 0.2500

The 6 most intense peaks (10° ≤ 2θ ≤ 80°), sorted by position:
2θ/deg, d [Å], I_rel
21.2, 4.188, 44
35.0, 2.564, 100
41.3, 2.187, 25
50.3, 1.813, 18
55.2, 1.664, 11
62.8, 1.481, 36

(9)
This entry pairs a crystal structure of Ca3Zn2GaCu9 with its calculated powder X-ray diffraction pattern. Radiation: CuKα. Structure: DFT lattice parameters and positions (GGA-PBE).

Atomic structure:
abc: 6.1834 6.1834 8.7634
angles: 90.00 90.00 120.00
Fractional coordinates of all 15 atoms:
Ca: 0.0000 0.0000 0.0000
Ca: 0.3333 0.6667 0.6566
Ca: 0.6667 0.3333 0.3434
Zn: 0.3333 0.6667 0.1810
Zn: 0.6667 0.3333 0.8190
Ga: 0.0000 0.0000 0.5000
Cu: 0.0000 0.5000 0.0000
Cu: 0.1355 0.2710 0.2850
Cu: 0.1355 0.8645 0.2850
Cu: 0.2710 0.1355 0.7150
Cu: 0.5000 0.0000 0.0000
Cu: 0.5000 0.5000 0.0000
Cu: 0.7290 0.8645 0.2850
Cu: 0.8645 0.1355 0.7150
Cu: 0.8645 0.7290 0.7150

The 6 most intense peaks (10° ≤ 2θ ≤ 80°), sorted by position:
2θ/deg, d [Å], I_rel
19.4, 4.569, 55
35.0, 2.561, 44
39.4, 2.285, 100
46.0, 1.973, 30
54.1, 1.696, 24
59.8, 1.546, 23

(10)
This entry pairs a crystal structure of CaZnGaCu6 with its calculated powder X-ray diffraction pattern. Radiation: CuKα. Structure: DFT lattice parameters and positions (GGA-PBE).

Atomic structure:
abc: 7.4081 7.4081 7.4081
angles: 125.61 106.54 97.64
Fractional coordinates of all 18 atoms:
Ca: 0.4696 0.2196 0.2500
Ca: 0.5304 0.7804 0.7500
Zn: 0.0000 0.0000 0.5000
Zn: 0.0000 0.5000 0.0000
Ga: 0.0000 0.0000 0.0000
Ga: 0.5000 0.0000 0.5000
Cu: 0.1180 0.4445 0.3093
Cu: 0.1180 0.8086 0.6735
Cu: 0.1730 0.9230 0.2500
Cu: 0.2223 0.4723 0.7500
Cu: 0.3649 0.1914 0.8093
Cu: 0.3649 0.5555 0.1735
Cu: 0.6351 0.4445 0.8265
Cu: 0.6351 0.8086 0.1907
Cu: 0.7777 0.5277 0.2500
Cu: 0.8270 0.0770 0.7500
Cu: 0.8820 0.1914 0.3265
Cu: 0.8820 0.5555 0.6907

The 6 most intense peaks (10° ≤ 2θ ≤ 80°), sorted by position:
2θ/deg, d [Å], I_rel
13.5, 6.559, 59
36.8, 2.444, 83
39.8, 2.267, 50
40.7, 2.215, 100
42.3, 2.136, 55
46.1, 1.970, 52

(11)
This entry pairs a crystal structure of Ca3Cu3Ge2 with its calculated powder X-ray diffraction pattern. Radiation: CuKα. Structure: DFT lattice parameters and positions (GGA-PBE).

Atomic structure:
abc: 7.7452 14.9300 5.8198
angles: 90.00 90.00 90.00
Fractional coordinates of all 32 atoms:
Ca: 0.0260 0.1059 0.1362
Ca: 0.0260 0.3941 0.1362
Ca: 0.1603 0.2500 0.6258
Ca: 0.3397 0.7500 0.1258
Ca: 0.4740 0.6059 0.6362
Ca: 0.4740 0.8941 0.6362
Ca: 0.5260 0.1059 0.3638
Ca: 0.5260 0.3941 0.3638
Ca: 0.6603 0.2500 0.8742
Ca: 0.8397 0.7500 0.3742
Ca: 0.9740 0.6059 0.8638
Ca: 0.9740 0.8941 0.8638
Cu: 0.1685 0.0350 0.6035
Cu: 0.1685 0.4650 0.6035
Cu: 0.1868 0.7500 0.5983
Cu: 0.3132 0.2500 0.0983
Cu: 0.3315 0.5350 0.1035
Cu: 0.3315 0.9650 0.1035
Cu: 0.6685 0.0350 0.8965
Cu: 0.6685 0.4650 0.8965
Cu: 0.6868 0.7500 0.9017
Cu: 0.8132 0.2500 0.4017
Cu: 0.8315 0.5350 0.3965
Cu: 0.8315 0.9650 0.3965
Ge: 0.1284 0.6024 0.3690
Ge: 0.1284 0.8976 0.3690
Ge: 0.3716 0.1024 0.8690
Ge: 0.3716 0.3976 0.8690
Ge: 0.6284 0.6024 0.1310
Ge: 0.6284 0.8976 0.1310
Ge: 0.8716 0.1024 0.6310
Ge: 0.8716 0.3976 0.6310

The 6 most intense peaks (10° ≤ 2θ ≤ 80°), sorted by position:
2θ/deg, d [Å], I_rel
19.1, 4.653, 60
33.4, 2.684, 82
36.8, 2.440, 90
37.6, 2.389, 87
38.1, 2.360, 100
41.0, 2.200, 91

(12)
This entry pairs a crystal structure of Ca3Cu2Ge3 with its calculated powder X-ray diffraction pattern. Radiation: CuKα. Structure: DFT lattice parameters and positions (GGA-PBE).

Atomic structure:
abc: 5.7056 5.7056 14.5110
angles: 90.00 90.00 135.10
Fractional coordinates of all 16 atoms:
Ca: 0.0932 0.9068 0.6109
Ca: 0.0932 0.9068 0.8891
Ca: 0.3760 0.6240 0.7500
Ca: 0.6240 0.3760 0.2500
Ca: 0.9068 0.0932 0.1109
Ca: 0.9068 0.0932 0.3891
Cu: 0.2032 0.7968 0.0953
Cu: 0.2032 0.7968 0.4047
Cu: 0.7968 0.2032 0.5953
Cu: 0.7968 0.2032 0.9047
Ge: 0.3246 0.6754 0.2500
Ge: 0.3851 0.6149 0.5370
Ge: 0.3851 0.6149 0.9630
Ge: 0.6149 0.3851 0.0370
Ge: 0.6149 0.3851 0.4630
Ge: 0.6754 0.3246 0.7500

The 6 most intense peaks (10° ≤ 2θ ≤ 80°), sorted by position:
2θ/deg, d [Å], I_rel
12.2, 7.255, 22
33.3, 2.693, 100
37.8, 2.381, 33
38.9, 2.315, 20
41.3, 2.184, 40
41.4, 2.179, 39

- Number 12 is which compound?
  Ca3Cu2Ge3